# Pr4CI2Br2Cl
Computed X-ray diffraction stick pattern, copper Kα. Input: DFT lattice parameters and positions (PBE).
Intensities are scaled so that the largest is 100.

Cell and atoms:
```
data_Pr4CI2Br2Cl
_chemical_formula_sum 'Pr4 C1 I2 Br2 Cl1'
_symmetry_space_group_name_H-M 'P 1'
_symmetry_Int_Tables_number 1
_cell_length_a 9.8109
_cell_length_b 9.8109
_cell_length_c 8.3470
_cell_angle_alpha 102.05
_cell_angle_beta 102.05
_cell_angle_gamma 23.63
loop_
_symmetry_equiv_pos_as_xyz
'x,y,z'
loop_
_atom_site_label
_atom_site_fract_x
_atom_site_fract_y
_atom_site_fract_z
Pr1 0.0010 0.0010 0.2871
Pr2 0.3638 0.3638 0.4269
Pr3 0.6362 0.6362 0.5731
Pr4 0.9990 0.9990 0.7129
C1 0.5000 0.5000 0.5000
I1 0.1726 0.1726 0.3031
I2 0.8274 0.8274 0.6969
Br1 0.1576 0.1576 0.8448
Br2 0.8424 0.8424 0.1552
Cl1 0.5000 0.5000 0.0000
```

Largest 8 diffraction maxima, sorted by position, 2θ = 15–90°:
2θ = 28.54°, I 47; 2θ = 30.90°, I 100; 2θ = 32.14°, I 16; 2θ = 32.65°, I 28; 2θ = 32.79°, I 19; 2θ = 42.49°, I 30; 2θ = 42.62°, I 24; 2θ = 45.14°, I 20

---

# GaPt15
Computed X-ray diffraction stick pattern, copper Kα. Input: DFT lattice parameters and positions (PBE).
Intensities are scaled so that the largest is 100.

Cell and atoms:
```
data_GaPt15
_chemical_formula_sum 'Ga2 Pt30'
_symmetry_space_group_name_H-M 'P 1'
_symmetry_Int_Tables_number 1
_cell_length_a 4.8160
_cell_length_b 36.7711
_cell_length_c 4.8178
_cell_angle_alpha 90.00
_cell_angle_beta 109.96
_cell_angle_gamma 90.00
loop_
_symmetry_equiv_pos_as_xyz
'x,y,z'
loop_
_atom_site_label
_atom_site_fract_x
_atom_site_fract_y
_atom_site_fract_z
Ga1 0.0000 0.2141 0.2500
Ga2 0.0000 0.7859 0.7500
Pt1 0.0000 0.2442 0.7500
Pt2 0.0000 0.2868 0.2500
Pt3 0.0000 0.3252 0.7500
Pt4 0.0000 0.3645 0.2500
Pt5 0.0000 0.4031 0.7500
Pt6 0.0000 0.4420 0.2500
Pt7 0.0000 0.4806 0.7500
Pt8 0.0000 0.5194 0.2500
Pt9 0.0000 0.5580 0.7500
Pt10 0.0000 0.5969 0.2500
Pt11 0.0000 0.6355 0.7500
Pt12 0.0000 0.6748 0.2500
Pt13 0.0000 0.7132 0.7500
Pt14 0.0000 0.7558 0.2500
Pt15 0.5000 0.2111 0.7500
Pt16 0.5000 0.2442 0.2500
Pt17 0.5000 0.2862 0.7500
Pt18 0.5000 0.3251 0.2500
Pt19 0.5000 0.3640 0.7500
Pt20 0.5000 0.4031 0.2500
Pt21 0.5000 0.4416 0.7500
Pt22 0.5000 0.4807 0.2500
Pt23 0.5000 0.5193 0.7500
Pt24 0.5000 0.5584 0.2500
Pt25 0.5000 0.5969 0.7500
Pt26 0.5000 0.6360 0.2500
Pt27 0.5000 0.6749 0.7500
Pt28 0.5000 0.7138 0.2500
Pt29 0.5000 0.7558 0.7500
Pt30 0.5000 0.7889 0.2500
```

Largest 8 diffraction maxima, sorted by position, 2θ = 15–90°:
2θ = 37.15°, I 30; 2θ = 39.19°, I 67; 2θ = 39.85°, I 100; 2θ = 44.12°, I 19; 2θ = 45.90°, I 43; 2θ = 46.04°, I 33; 2θ = 67.02°, I 28; 2θ = 79.97°, I 22

---

# BeCoSnW
Computed X-ray diffraction stick pattern, copper Kα. Input: DFT lattice parameters and positions (PBE).
Intensities are scaled so that the largest is 100.

Cell and atoms:
```
data_BeCoSnW
_chemical_formula_sum 'Be4 Co4 Sn4 W4'
_symmetry_space_group_name_H-M 'P 1'
_symmetry_Int_Tables_number 1
_cell_length_a 6.0628
_cell_length_b 6.0628
_cell_length_c 6.0628
_cell_angle_alpha 90.00
_cell_angle_beta 90.00
_cell_angle_gamma 90.00
loop_
_symmetry_equiv_pos_as_xyz
'x,y,z'
loop_
_atom_site_label
_atom_site_fract_x
_atom_site_fract_y
_atom_site_fract_z
Be1 0.0000 0.0000 0.0000
Be2 0.0000 0.5000 0.5000
Be3 0.5000 0.0000 0.5000
Be4 0.5000 0.5000 0.0000
Co1 0.0000 0.0000 0.5000
Co2 0.0000 0.5000 0.0000
Co3 0.5000 0.0000 0.0000
Co4 0.5000 0.5000 0.5000
Sn1 0.2500 0.2500 0.2500
Sn2 0.2500 0.7500 0.7500
Sn3 0.7500 0.2500 0.7500
Sn4 0.7500 0.7500 0.2500
W1 0.2500 0.2500 0.7500
W2 0.2500 0.7500 0.2500
W3 0.7500 0.2500 0.2500
W4 0.7500 0.7500 0.7500
```

Largest 8 diffraction maxima, sorted by position, 2θ = 15–90°:
2θ = 25.45°, I 12; 2θ = 29.47°, I 52; 2θ = 42.16°, I 100; 2θ = 49.89°, I 6; 2θ = 52.27°, I 15; 2θ = 61.14°, I 17; 2θ = 69.31°, I 20; 2θ = 77.06°, I 34

---

# Sc3Si4Ni2
Computed X-ray diffraction stick pattern, copper Kα. Input: DFT lattice parameters and positions (PBE).
Intensities are scaled so that the largest is 100.

Cell and atoms:
```
data_Sc3Si4Ni2
_chemical_formula_sum 'Sc12 Si16 Ni8'
_symmetry_space_group_name_H-M 'P 1'
_symmetry_Int_Tables_number 1
_cell_length_a 11.6604
_cell_length_b 3.9806
_cell_length_c 11.9450
_cell_angle_alpha 90.00
_cell_angle_beta 90.00
_cell_angle_gamma 90.00
loop_
_symmetry_equiv_pos_as_xyz
'x,y,z'
loop_
_atom_site_label
_atom_site_fract_x
_atom_site_fract_y
_atom_site_fract_z
Sc1 0.0197 0.2500 0.1866
Sc2 0.1957 0.7500 0.5800
Sc3 0.2471 0.2500 0.3489
Sc4 0.2529 0.7500 0.8489
Sc5 0.3043 0.2500 0.0800
Sc6 0.4803 0.7500 0.6866
Sc7 0.5197 0.2500 0.3134
Sc8 0.6957 0.7500 0.9200
Sc9 0.7471 0.2500 0.1511
Sc10 0.7529 0.7500 0.6511
Sc11 0.8043 0.2500 0.4200
Sc12 0.9803 0.7500 0.8134
Si1 0.0582 0.2500 0.4676
Si2 0.1081 0.2500 0.9362
Si3 0.1222 0.2500 0.7331
Si4 0.1739 0.7500 0.2022
Si5 0.3261 0.2500 0.7022
Si6 0.3778 0.7500 0.2331
Si7 0.3919 0.7500 0.4362
Si8 0.4418 0.7500 0.9676
Si9 0.5582 0.2500 0.0324
Si10 0.6081 0.2500 0.5638
Si11 0.6222 0.2500 0.7669
Si12 0.6739 0.7500 0.2978
Si13 0.8261 0.2500 0.7978
Si14 0.8778 0.7500 0.2669
Si15 0.8919 0.7500 0.0638
Si16 0.9418 0.7500 0.5324
Ni1 0.0507 0.7500 0.3655
Ni2 0.0907 0.7500 0.0271
Ni3 0.4093 0.2500 0.5271
Ni4 0.4493 0.2500 0.8655
Ni5 0.5507 0.7500 0.1345
Ni6 0.5907 0.7500 0.4729
Ni7 0.9093 0.2500 0.9729
Ni8 0.9493 0.2500 0.6345
```

Largest 8 diffraction maxima, sorted by position, 2θ = 15–90°:
2θ = 15.20°, I 30; 2θ = 35.41°, I 59; 2θ = 35.61°, I 70; 2θ = 38.47°, I 99; 2θ = 39.03°, I 51; 2θ = 39.53°, I 100; 2θ = 44.93°, I 30; 2θ = 45.58°, I 84